For Mn2AsO6, a GGA+U-relaxed structure gives the calculated X-ray powder pattern in this record (a wavelength of 1.5418 Å).
Lines closer than 0.1° are merged.

Top 10 peaks for 10° ≤ 2θ ≤ 90°, in order of falling intensity:
| index | 2θ/deg | I/Imax |
| --- | --- | --- |
| 1 1 1 | 29.1 | 100 |
| 0 3 2 | 55.7 | 73 |
| 3 0 0 | 37.2 | 46 |
| 1 0 1 | 23.2 | 42 |
| 0 2 1 | 31.6 | 40 |
| 3 3 0 | 67.2 | 28 |
| 2 1 1 | 38.4 | 23 |
| 0 3 1 | 42.4 | 23 |
| 2 2 1 | 47.9 | 20 |
| 3 2 1 | 59.2 | 18 |

Structure:
```
Mn2AsO6
1.0
8.363 0.000 0.000
-4.181 7.242 0.000
0.000 0.000 4.525
Mn As O
6 3 18
direct
0.000 0.312 0.000
0.000 0.644 0.500
0.312 0.000 0.000
0.356 0.356 0.500
0.644 0.000 0.500
0.688 0.688 0.000
0.000 0.000 0.500
0.333 0.667 0.013
0.667 0.333 0.987
0.096 0.882 0.274
0.118 0.214 0.274
0.120 0.538 0.242
0.214 0.118 0.726
0.226 0.454 0.791
0.228 0.774 0.791
0.418 0.880 0.242
0.454 0.226 0.209
0.462 0.582 0.242
0.538 0.120 0.758
0.546 0.772 0.791
0.582 0.462 0.758
0.772 0.546 0.209
0.774 0.228 0.209
0.786 0.904 0.274
0.880 0.418 0.758
0.882 0.096 0.726
0.904 0.786 0.726
```